Starting from a structure optimized by DFT (PBE), the PXRD pattern of Sc3Ge4Mo2 was calculated for Cu Kα (weighted mean of Kα1 and Kα2).
No peak broadening, texture or thermal motion is included.

The 10 most intense peaks (2θ from 10° to 90°), sorted by position:
Position (°2θ), d (Å), Rel. int., hkl
35.30, 2.542, 100, 1 3 2
35.71, 2.515, 83, 2 3 1
36.94, 2.433, 31, 2 0 2
37.36, 2.407, 34, 0 4 2
37.87, 2.376, 21, 2 4 0
39.43, 2.285, 24, 2 2 2
40.09, 2.249, 36, 2 4 1
40.70, 2.217, 31, 0 6 0
41.60, 2.171, 34, 1 1 3
41.96, 2.153, 39, 3 0 1

```
Sc3Ge4Mo2
1.0
6.7907 0.0000 0.0000
0.0000 13.3008 0.0000
0.0000 0.0000 6.9779
Sc Ge Mo
12 16 8
Cartesian
0.9294 1.6240 1.1340 Sc
0.9294 5.0264 1.1340 Sc
1.2332 9.9756 0.0221 Sc
2.1622 3.3252 3.5111 Sc
2.4660 8.2744 4.6230 Sc
2.4660 11.6769 4.6230 Sc
4.3247 1.6240 2.3550 Sc
4.3247 5.0264 2.3550 Sc
4.6285 9.9756 3.4669 Sc
5.5575 3.3252 6.9558 Sc
5.8614 8.2744 5.8439 Sc
5.8614 11.6769 5.8439 Sc
0.3529 9.9756 4.1535 Ge
1.2030 3.3252 5.9084 Ge
1.4421 7.2070 6.7762 Ge
1.4421 12.7442 6.7762 Ge
1.9533 0.5566 3.2872 Ge
1.9533 6.0938 3.2872 Ge
2.1923 9.9756 2.4194 Ge
3.0425 3.3252 0.6646 Ge
3.7483 9.9756 6.3133 Ge
4.5984 3.3252 4.5585 Ge
4.8374 7.2070 3.6907 Ge
4.8374 12.7442 3.6907 Ge
5.3486 0.5566 0.2017 Ge
5.3486 6.0938 0.2017 Ge
5.5877 9.9756 1.0695 Ge
6.4378 3.3252 2.8244 Ge
0.1997 7.9149 2.1972 Mo
0.1997 12.0364 2.1972 Mo
3.1956 1.2645 5.6861 Mo
3.1956 5.3860 5.6861 Mo
3.5951 7.9149 1.2918 Mo
3.5951 12.0364 1.2918 Mo
6.5910 1.2645 4.7807 Mo
6.5910 5.3860 4.7807 Mo
```